Theoretical powder diffraction line list
Compound: Sm2Ge6Pt
Radiation: a wavelength of 1.5418 Å
Structure: a crystal structure in Alexandria, relaxed with PBE

Principal peaks in the range 15° ≤ 2θ ≤ 90°, in order of rising 2θ:
| 2θ (°) | intensity | (hkl) |
| --- | --- | --- |
| 16.0 | 12 | 0 0 4 |
| 32.4 | 32 | 1 0 6 |
| 32.9 | 100 | 1 1 3 |
| 42.0 | 19 | 1 1 7 |
| 42.8 | 21 | 0 1 9 |
| 43.4 | 24 | 2 0 0 |
| 44.0 | 23 | 0 2 0 |
| 55.7 | 14 | 1 2 6 |
| 62.6 | 14 | 2 1 9 |
| 63.5 | 15 | 2 2 0 |

Crystal structure
Unit cell a=4.167 b=4.119 c=22.140 alpha=90.00 beta=90.00 gamma=90.00
Space group Amm2 (No. 38)
One atom of each set of equivalent atoms:
Sm  0.000  0.000  0.000 x2
Sm  0.000  0.000  0.337 x2
Ge  0.000  0.000  0.603 x2
Ge  0.000  0.000  0.715 x2
Ge  0.500  0.000  0.101 x2
Ge  0.500  0.000  0.215 x2
Ge  0.500  0.000  0.460 x2
Ge  0.500  0.000  0.890 x2
Pt  0.500  0.000  0.779 x2

Theoretical powder diffraction line list
Compound: Pm4Al5Ge6
Radiation: a wavelength of 1.5418 Å
Structure: a crystal structure in Alexandria, relaxed with PBE

Principal peaks in the range 15° ≤ 2θ ≤ 90°, in order of rising 2θ:
| 2θ (°) | intensity | (hkl) |
| --- | --- | --- |
| 21.4 | 28 | 1 1 0 |
| 29.1 | 28 | 0 4 4 |
| 30.3 | 28 | 1 3 3 |
| 30.9 | 48 | 1 5 0 |
| 31.4 | 100 | 1 1 4 |
| 33.0 | 34 | 1 5 2 |
| 34.3 | 25 | 0 0 6 |
| 35.5 | 90 | 1 5 3 |
| 38.7 | 33 | 1 5 4 |
| 42.6 | 54 | 2 0 0 |

Crystal structure
Unit cell a=4.249 b=19.746 c=15.684 alpha=90.00 beta=90.00 gamma=90.00
Space group Cmc2_1 (No. 36)
One atom of each set of equivalent atoms:
Pm  0.000  0.014  0.000 x4
Pm  0.000  0.041  0.273 x4
Pm  0.000  0.166  0.810 x4
Pm  0.000  0.187  0.453 x4
Al  0.000  0.146  0.132 x4
Al  0.000  0.305  0.123 x4
Al  0.000  0.340  0.793 x4
Al  0.000  0.361  0.477 x4
Al  0.000  0.441  0.190 x4
Ge  0.000  0.110  0.622 x4
Ge  0.000  0.208  0.996 x4
Ge  0.000  0.227  0.260 x4
Ge  0.000  0.421  0.917 x4
Ge  0.000  0.433  0.631 x4
Ge  0.000  0.445  0.355 x4

Theoretical powder diffraction line list
Compound: TmHfAlRu
Radiation: a wavelength of 1.5418 Å
Structure: a crystal structure in Alexandria, relaxed with PBE

Principal peaks in the range 15° ≤ 2θ ≤ 90°, in order of rising 2θ:
| 2θ (°) | intensity | (hkl) |
| --- | --- | --- |
| 22.8 | 6 | 1 1 1 |
| 26.4 | 25 | 2 0 0 |
| 37.7 | 100 | 2 2 0 |
| 44.5 | 3 | 3 1 1 |
| 46.6 | 8 | 2 2 2 |
| 54.4 | 17 | 4 0 0 |
| 61.4 | 10 | 4 2 0 |
| 68.0 | 35 | 4 2 2 |
| 80.5 | 11 | 4 4 0 |
| 86.5 | 5 | 6 0 0 |

Crystal structure
Unit cell a=6.750 b=6.750 c=6.750 alpha=90.00 beta=90.00 gamma=90.00
Space group F-43m (No. 216)
One atom of each set of equivalent atoms:
Tm  0.000  0.000  0.000 x4
Hf  0.000  0.000  0.500 x4
Al  0.250  0.250  0.750 x4
Ru  0.250  0.250  0.250 x4

Theoretical powder diffraction line list
Compound: Tm4IrAu
Radiation: a wavelength of 1.5418 Å
Structure: a crystal structure in Alexandria, relaxed with PBE

Principal peaks in the range 15° ≤ 2θ ≤ 90°, in order of rising 2θ:
| 2θ (°) | intensity | (hkl) |
| --- | --- | --- |
| 28.9 | 39 | 2 1 0 |
| 31.8 | 100 | 1 1 4 |
| 33.1 | 35 | 3 0 1 |
| 33.8 | 82 | 2 1 3 |
| 34.6 | 65 | 0 1 5 |
| 38.5 | 79 | 0 2 0 |
| 40.2 | 37 | 3 0 4 |
| 41.2 | 29 | 2 1 5 |
| 56.9 | 29 | 3 2 4 |
| 67.1 | 23 | 0 3 5 |

Crystal structure
Unit cell a=8.236 b=4.682 c=15.548 alpha=90.00 beta=90.00 gamma=90.00
Space group Pnma (No. 62)
One atom of each set of equivalent atoms:
Tm  0.030  0.250  0.080 x4
Tm  0.089  0.250  0.774 x4
Tm  0.133  0.250  0.336 x4
Tm  0.150  0.250  0.566 x4
Ir  0.192  0.750  0.682 x4
Au  0.240  0.750  0.439 x4

Theoretical powder diffraction line list
Compound: CsPa4Te12
Radiation: a wavelength of 1.5418 Å
Structure: a crystal structure in Alexandria, relaxed with PBE

Principal peaks in the range 15° ≤ 2θ ≤ 90°, in order of rising 2θ:
| 2θ (°) | intensity | (hkl) |
| --- | --- | --- |
| 16.1 | 89 | 2 0 0 |
| 22.8 | 40 | 2 2 0 |
| 25.5 | 100 | 3 0 1 |
| 30.3 | 69 | 3 1 2 |
| 32.4 | 35 | 4 0 0 |
| 36.4 | 84 | 4 2 0 |
| 40.0 | 96 | 4 2 2 |
| 48.1 | 37 | 5 3 0 |
| 55.2 | 26 | 6 2 2 |
| 72.7 | 48 | 6 6 0 |

Crystal structure
Unit cell a=11.039 b=11.039 c=11.039 alpha=90.00 beta=90.00 gamma=90.00
Space group Im-3 (No. 204)
One atom of each set of equivalent atoms:
Cs  0.000  0.000  0.000 x2
Pa  0.250  0.250  0.250 x8
Te  0.000  0.316  0.169 x24

Theoretical powder diffraction line list
Compound: Tl7Te3I
Radiation: a wavelength of 1.5418 Å
Structure: a crystal structure in Alexandria, relaxed with PBE

Principal peaks in the range 15° ≤ 2θ ≤ 90°, in order of rising 2θ:
| 2θ (°) | intensity | (hkl) |
| --- | --- | --- |
| 18.6 | 17 | 3 1 0 |
| 22.9 | 17 | 4 0 0 |
| 28.5 | 30 | 1 1 3 |
| 28.7 | 51 | 0 4 0 |
| 31.0 | 15 | 5 1 1 |
| 32.6 | 100 | 4 2 2 |
| 36.0 | 15 | 2 4 2 |
| 36.1 | 18 | 0 0 4 |
| 46.8 | 19 | 8 0 0 |
| 53.4 | 15 | 4 6 2 |

Crystal structure
Unit cell a=15.537 b=12.445 c=9.942 alpha=90.00 beta=90.00 gamma=90.00
Space group Cmcm (No. 63)
One atom of each set of equivalent atoms:
Tl  0.000  0.175  0.250 x4
Tl  0.119  0.253  0.544 x16
Tl  0.146  0.491  0.250 x8
Te  0.000  0.500  0.000 x4
Te  0.217  0.235  0.250 x8
I  0.000  0.000  0.000 x4

Theoretical powder diffraction line list
Compound: SrOsBr4
Radiation: a wavelength of 1.5418 Å
Structure: a crystal structure in Alexandria, relaxed with PBE

Principal peaks in the range 15° ≤ 2θ ≤ 90°, in order of rising 2θ:
| 2θ (°) | intensity | (hkl) |
| --- | --- | --- |
| 27.9 | 43 | 2 2 0 |
| 32.9 | 100 | 3 1 1 |
| 34.4 | 26 | 2 2 2 |
| 49.4 | 18 | 4 2 2 |
| 52.7 | 35 | 3 3 3 |
| 57.8 | 27 | 4 4 0 |
| 68.1 | 12 | 5 3 3 |
| 69.0 | 10 | 6 2 2 |
| 79.4 | 9 | 6 4 2 |
| 82.0 | 22 | 7 3 1 |

Crystal structure
Unit cell a=9.030 b=9.030 c=9.030 alpha=90.00 beta=90.00 gamma=90.00
Space group F-43m (No. 216)
One atom of each set of equivalent atoms:
Sr  0.000  0.000  0.000 x4
Os  0.250  0.250  0.250 x4
Br  0.125  0.125  0.625 x16

Theoretical powder diffraction line list
Compound: Dy2Tm2Th15
Radiation: a wavelength of 1.5418 Å
Structure: a crystal structure in Alexandria, relaxed with PBE

Principal peaks in the range 15° ≤ 2θ ≤ 90°, in order of rising 2θ:
| 2θ (°) | intensity | (hkl) |
| --- | --- | --- |
| 15.6 | 26 | 1 1 0 |
| 27.2 | 23 | 3 0 0 |
| 31.0 | 36 | 0 0 6 |
| 31.3 | 100 | 0 3 3 |
| 31.5 | 53 | 2 2 0 |
| 31.6 | 37 | 2 0 5 |
| 34.8 | 29 | 1 1 6 |
| 35.2 | 94 | 2 2 3 |
| 55.3 | 19 | 0 3 9 |
| 56.0 | 39 | 6 0 0 |

Crystal structure
Unit cell a=11.3723 b=11.3723 c=17.3254 alpha=90.00 beta=90.00 gamma=120.00
Space group R-3m (No. 166, hexagonal axes)
One atom of each set of equivalent atoms:
Dy  0.0000  0.0000  0.1877 x6
Tm  0.0000  0.0000  0.4026 x6
Th  0.0000  0.2992  0.5000 x18
Th  0.0000  0.5000  0.0000 x9
Th  0.0093  0.5046  0.6460 x18

Theoretical powder diffraction line list
Compound: Sr4As2I
Radiation: a wavelength of 1.5418 Å
Structure: a crystal structure in Alexandria, relaxed with PBE

Principal peaks in the range 15° ≤ 2θ ≤ 90°, in order of rising 2θ:
| 2θ (°) | intensity | (hkl) |
| --- | --- | --- |
| 26.1 | 100 | 1 0 7 |
| 27.2 | 12 | 0 1 8 |
| 29.6 | 24 | 1 0 10 |
| 33.8 | 14 | 1 0 13 |
| 35.3 | 16 | 0 1 14 |
| 39.2 | 47 | 1 1 0 |
| 40.1 | 22 | 0 1 17 |
| 47.7 | 19 | 0 2 7 |
| 63.3 | 16 | 2 1 7 |
| 71.0 | 10 | 3 0 0 |

Crystal structure
Unit cell a=4.6006 b=4.6006 c=46.2995 alpha=90.00 beta=90.00 gamma=120.00
Space group R-3m (No. 166, hexagonal axes)
One atom of each set of equivalent atoms:
Sr  0.0000  0.0000  0.1200 x6
Sr  0.0000  0.0000  0.2817 x6
As  0.0000  0.0000  0.4191 x6
I  0.0000  0.0000  0.0000 x3